Structure and computed X-ray powder pattern of AcNd2WO8 (a GGA+U-relaxed structure; Cu Ka).
Peak positions follow from Bragg's law for the DFT cell and can differ from measured ones.

Top 10 peaks for 10 to 80 degrees two-theta, in order of rising 2θ:
d_spacing	I (rel.)	hkl
3.695	53	1 0 -1
3.673	51	1 0 1
2.989	100	0 2 1
2.605	29	2 0 0
1.967	38	1 2 -2
1.960	36	1 2 2
1.645	10	3 0 1
1.635	19	1 4 -1
1.568	21	3 2 0
1.494	12	2 4 0

Crystal structure
Lattice parameters (Å, degrees): 5.2091 7.2970 5.2110 90.00 90.33 90.00
Fractional positions:
Ac 0.0000 0.0000 0.0000
Nd 0.5000 0.2625 0.5000
Nd 0.5000 0.7375 0.5000
W 0.0000 0.5000 0.0000
O 0.1797 0.3026 0.8190
O 0.1797 0.6974 0.8190
O 0.2683 0.5000 0.2668
O 0.3203 0.0000 0.3187
O 0.6797 0.0000 0.6813
O 0.7317 0.5000 0.7332
O 0.8203 0.3026 0.1810
O 0.8203 0.6974 0.1810